Diffraction record for Li2VCrP4O14. The powder diffractogram is computed, not measured: it uses a DFT-relaxed cell (GGA+U, Alexandria) and Cu Kα, 1.54184 Å.

The 10 most intense peaks (10° ≤ 2θ ≤ 80°), by angle:
2θ/deg	Rel. int.	h k l
17.1	100	1 1 -1
22.0	21	1 1 1
22.4	49	0 1 2
25.4	19	1 2 -1
26.7	23	2 0 0
28.8	30	2 1 0
29.3	56	0 2 2
29.7	27	1 1 -3
34.6	17	2 2 -2
43.2	13	1 3 -3

Atomic structure:
Cell lengths 7.1786, 8.2478, 9.7340 Å; angles 90.00, 111.34, 90.00 degrees
Space group P2_1 (No. 4)
Unique sites:
Li1 0.0739 0.0000 0.2474 (multiplicity 2)
Li2 0.4225 0.4979 0.2537 (multiplicity 2)
V1 0.4723 0.1388 0.2428 (multiplicity 2)
Cr1 0.0307 0.6390 0.2576 (multiplicity 2)
P1 0.0374 0.3200 0.0622 (multiplicity 2)
P2 0.1505 0.4212 0.5650 (multiplicity 2)
P3 0.3466 0.9264 0.9325 (multiplicity 2)
P4 0.4606 0.8177 0.4369 (multiplicity 2)
O1 0.0014 0.3179 0.8972 (multiplicity 2)
O2 0.0094 0.3310 0.6250 (multiplicity 2)
O3 0.0497 0.4630 0.4026 (multiplicity 2)
O4 0.1195 0.4856 0.1305 (multiplicity 2)
O5 0.1656 0.1795 0.1499 (multiplicity 2)
O6 0.1739 0.7924 0.9181 (multiplicity 2)
O7 0.2408 0.5698 0.6611 (multiplicity 2)
O8 0.2529 0.0757 0.8392 (multiplicity 2)
O9 0.3272 0.2899 0.5814 (multiplicity 2)
O10 0.3338 0.6754 0.3512 (multiplicity 2)
O11 0.3761 0.9815 0.3688 (multiplicity 2)
O12 0.4467 0.9658 0.0958 (multiplicity 2)
O13 0.4888 0.8401 0.8724 (multiplicity 2)
O14 0.4988 0.8153 0.6025 (multiplicity 2)